[1]
Structure and theoretical X-ray powder pattern of CaGdSc2 (a crystal structure in Alexandria, relaxed with PBE; CuKα).
Lines closer than 0.1° are merged.

Most intense lines, 5 to 70 degrees two-theta, most intense first:
d (Å), two_theta, I/Imax
2.751, 32.5, 100
1.588, 58.1, 36
4.493, 19.8, 34
2.346, 38.4, 20
1.945, 46.7, 18
3.891, 22.9, 17
1.376, 68.2, 11
1.785, 51.2, 9
1.740, 52.6, 8
1.498, 62.0, 7

Crystal structure
abc: 7.7818 7.7818 7.7818
angles: 90.00 90.00 90.00
Fractional positions:
Ca (0.0000, 0.0000, 0.0000)
Ca (0.0000, 0.5000, 0.5000)
Ca (0.5000, 0.0000, 0.5000)
Ca (0.5000, 0.5000, 0.0000)
Gd (0.0000, 0.0000, 0.5000)
Gd (0.0000, 0.5000, 0.0000)
Gd (0.5000, 0.0000, 0.0000)
Gd (0.5000, 0.5000, 0.5000)
Sc (0.2500, 0.2500, 0.2500)
Sc (0.2500, 0.2500, 0.7500)
Sc (0.2500, 0.7500, 0.2500)
Sc (0.2500, 0.7500, 0.7500)
Sc (0.7500, 0.2500, 0.2500)
Sc (0.7500, 0.2500, 0.7500)
Sc (0.7500, 0.7500, 0.2500)
Sc (0.7500, 0.7500, 0.7500)

***

[2]
Structure and theoretical X-ray powder pattern of Th3InCu4 (a crystal structure in Alexandria, relaxed with PBE; CuKα).
Lines closer than 0.1° are merged.

Most intense lines, 5 to 70 degrees two-theta, most intense first:
d (Å), two_theta, I/Imax
2.962, 30.2, 100
2.472, 36.3, 40
4.030, 22.1, 31
2.382, 37.8, 30
3.201, 27.9, 24
1.798, 50.8, 24
2.392, 37.6, 17
1.481, 62.7, 15
1.850, 49.3, 15
2.799, 32.0, 14

Crystal structure
abc: 3.6997 6.3999 15.5624
angles: 90.00 90.00 90.00
Fractional positions:
Th (0.0000, 0.0000, 0.0000)
Th (0.0000, 0.5000, 0.2021)
Th (0.0000, 0.5000, 0.7979)
Th (0.5000, 0.0000, 0.2979)
Th (0.5000, 0.0000, 0.7021)
Th (0.5000, 0.5000, 0.5000)
In (0.0000, 0.0000, 0.5000)
In (0.5000, 0.5000, 0.0000)
Cu (0.0000, 0.3049, 0.3731)
Cu (0.0000, 0.3049, 0.6269)
Cu (0.0000, 0.6951, 0.3731)
Cu (0.0000, 0.6951, 0.6269)
Cu (0.5000, 0.1951, 0.1269)
Cu (0.5000, 0.1951, 0.8731)
Cu (0.5000, 0.8049, 0.1269)
Cu (0.5000, 0.8049, 0.8731)

***

[3]
Structure and theoretical X-ray powder pattern of Fe3W5 (a crystal structure in Alexandria, relaxed with PBE; CuKα).
Lines closer than 0.1° are merged.

Most intense lines, 5 to 70 degrees two-theta, most intense first:
d (Å), two_theta, I/Imax
2.148, 42.1, 100
2.057, 44.0, 69
2.381, 37.8, 51
2.319, 38.8, 36
2.099, 43.1, 30
2.938, 30.4, 24
1.363, 68.9, 23
1.469, 63.3, 20
3.149, 28.3, 20
1.374, 68.2, 20

Crystal structure
abc: 7.2728 7.2728 4.9879
angles: 90.00 90.00 120.00
Fractional positions:
Fe (0.0000, 0.4094, 0.2500)
Fe (0.0000, 0.5906, 0.7500)
Fe (0.4094, 0.0000, 0.2500)
Fe (0.4094, 0.4094, 0.7500)
Fe (0.5906, 0.0000, 0.7500)
Fe (0.5906, 0.5906, 0.2500)
W (0.0000, 0.2364, 0.7500)
W (0.0000, 0.7636, 0.2500)
W (0.2364, 0.0000, 0.7500)
W (0.2364, 0.2364, 0.2500)
W (0.3333, 0.6667, 0.0000)
W (0.3333, 0.6667, 0.5000)
W (0.6667, 0.3333, 0.0000)
W (0.6667, 0.3333, 0.5000)
W (0.7636, 0.0000, 0.2500)
W (0.7636, 0.7636, 0.7500)

***

[4]
Structure and theoretical X-ray powder pattern of Tb4MnGa12 (a crystal structure in Alexandria, relaxed with PBE; CuKα).
Lines closer than 0.1° are merged.

Most intense lines, 5 to 70 degrees two-theta, most intense first:
d (Å), two_theta, I/Imax
2.491, 36.1, 100
2.157, 41.9, 56
1.525, 60.7, 34
3.051, 29.3, 24
4.314, 20.6, 10
1.929, 47.1, 8
1.761, 51.9, 7
1.364, 68.8, 7
1.438, 64.8, 4
2.306, 39.1, 4

Crystal structure
abc: 7.4723 7.4723 7.4723
angles: 109.47 109.47 109.47
Fractional positions:
Tb (0.0000, 0.0000, 0.5000)
Tb (0.0000, 0.5000, 0.0000)
Tb (0.5000, 0.0000, 0.0000)
Tb (0.5000, 0.5000, 0.5000)
Mn (0.0000, 0.0000, 0.0000)
Ga (0.0000, 0.2877, 0.2877)
Ga (0.0000, 0.7123, 0.7123)
Ga (0.2500, 0.5000, 0.7500)
Ga (0.2500, 0.7500, 0.5000)
Ga (0.2877, 0.0000, 0.2877)
Ga (0.2877, 0.2877, 0.0000)
Ga (0.5000, 0.2500, 0.7500)
Ga (0.5000, 0.7500, 0.2500)
Ga (0.7123, 0.0000, 0.7123)
Ga (0.7123, 0.7123, 0.0000)
Ga (0.7500, 0.2500, 0.5000)
Ga (0.7500, 0.5000, 0.2500)

***

[5]
Structure and theoretical X-ray powder pattern of Ce4Zn2In (a crystal structure in Alexandria, relaxed with PBE; CuKα).
Lines closer than 0.1° are merged.

Most intense lines, 5 to 70 degrees two-theta, most intense first:
d (Å), two_theta, I/Imax
2.765, 32.4, 100
2.251, 40.1, 40
2.826, 31.7, 37
2.303, 39.1, 31
1.785, 51.2, 23
2.383, 37.8, 23
3.323, 26.8, 18
1.571, 58.8, 17
1.790, 51.0, 14
1.413, 66.1, 13

Crystal structure
abc: 8.5440 7.0329 5.8435
angles: 82.58 54.71 42.70
Fractional positions:
Ce (0.0538, 0.7098, 0.2902)
Ce (0.2902, 0.9462, 0.0538)
Ce (0.7098, 0.0538, 0.9462)
Ce (0.9462, 0.2902, 0.7098)
Zn (0.2984, 0.2984, 0.7016)
Zn (0.7016, 0.7016, 0.2984)
In (0.5000, 0.5000, 0.5000)

***

[6]
Structure and theoretical X-ray powder pattern of ScSnS (a crystal structure in Alexandria, relaxed with PBE; CuKα).
Lines closer than 0.1° are merged.

Most intense lines, 5 to 70 degrees two-theta, most intense first:
d (Å), two_theta, I/Imax
2.698, 33.2, 100
2.734, 32.8, 99
1.828, 49.9, 61
2.487, 36.1, 52
2.898, 30.9, 49
2.407, 37.4, 44
1.450, 64.3, 41
1.784, 51.2, 40
4.125, 21.5, 39
3.175, 28.1, 39

Crystal structure
abc: 3.5659 4.9731 8.2507
angles: 90.00 90.00 90.00
Fractional positions:
Sc (0.2500, 0.2500, 0.1028)
Sc (0.7500, 0.7500, 0.8972)
Sn (0.2500, 0.7500, 0.5738)
Sn (0.7500, 0.2500, 0.4262)
S (0.2500, 0.7500, 0.1154)
S (0.7500, 0.2500, 0.8846)

***

[7]
Structure and theoretical X-ray powder pattern of LaZnFeH6 (a crystal structure in Alexandria, relaxed with PBE; CuKα).
Lines closer than 0.1° are merged.

Most intense lines, 5 to 70 degrees two-theta, most intense first:
d (Å), two_theta, I/Imax
2.931, 30.5, 100
2.257, 40.0, 41
1.581, 58.4, 27
1.788, 51.1, 23
1.401, 66.7, 20
2.215, 40.7, 12
3.909, 22.8, 12
1.381, 67.9, 10
1.927, 47.2, 4
1.954, 46.5, 2

Crystal structure
abc: 4.5132 4.5132 4.4291
angles: 90.00 90.00 120.00
Fractional positions:
La (0.0000, 0.0000, 0.0000)
Zn (0.3333, 0.6667, 0.5000)
Fe (0.6667, 0.3333, 0.5000)
H (0.5191, 0.0381, 0.2469)
H (0.5191, 0.0381, 0.7531)
H (0.5191, 0.4809, 0.2469)
H (0.5191, 0.4809, 0.7531)
H (0.9619, 0.4809, 0.2469)
H (0.9619, 0.4809, 0.7531)

***

[8]
Structure and theoretical X-ray powder pattern of ZrTiW2 (a crystal structure in Alexandria, relaxed with PBE; CuKα).
Lines closer than 0.1° are merged.

Most intense lines, 5 to 70 degrees two-theta, most intense first:
d (Å), two_theta, I/Imax
2.310, 39.0, 100
3.267, 27.3, 24
1.634, 56.3, 17
1.461, 63.7, 10
1.886, 48.2, 7
3.773, 23.6, 2
1.970, 46.1, 1

Crystal structure
abc: 6.5346 6.5346 6.5346
angles: 90.00 90.00 90.00
Fractional positions:
Zr (0.0000, 0.0000, 0.0000)
Zr (0.0000, 0.5000, 0.5000)
Zr (0.5000, 0.0000, 0.5000)
Zr (0.5000, 0.5000, 0.0000)
Ti (0.0000, 0.0000, 0.5000)
Ti (0.0000, 0.5000, 0.0000)
Ti (0.5000, 0.0000, 0.0000)
Ti (0.5000, 0.5000, 0.5000)
W (0.2500, 0.2500, 0.2500)
W (0.2500, 0.2500, 0.7500)
W (0.2500, 0.7500, 0.2500)
W (0.2500, 0.7500, 0.7500)
W (0.7500, 0.2500, 0.2500)
W (0.7500, 0.2500, 0.7500)
W (0.7500, 0.7500, 0.2500)
W (0.7500, 0.7500, 0.7500)

***

[9]
Structure and theoretical X-ray powder pattern of Pr2Al2Hg (a crystal structure in Alexandria, relaxed with PBE; CuKα).
Lines closer than 0.1° are merged.

Most intense lines, 5 to 70 degrees two-theta, most intense first:
d (Å), two_theta, I/Imax
2.885, 31.0, 100
2.392, 37.6, 71
2.943, 30.4, 62
3.592, 24.8, 41
2.355, 38.2, 41
3.278, 27.2, 28
2.640, 34.0, 27
1.722, 53.2, 24
4.258, 20.9, 21
2.775, 32.3, 19

Crystal structure
abc: 6.0937 6.0937 11.1067
angles: 115.37 115.37 45.48
Fractional positions:
Pr (0.0121, 0.0121, 0.3270)
Pr (0.1813, 0.1813, 0.0925)
Pr (0.8187, 0.8187, 0.9075)
Pr (0.9879, 0.9879, 0.6730)
Al (0.3644, 0.3644, 0.4397)
Al (0.4849, 0.4849, 0.1150)
Al (0.5151, 0.5151, 0.8850)
Al (0.6356, 0.6356, 0.5603)
Hg (0.2721, 0.2721, 0.6540)
Hg (0.7279, 0.7279, 0.3460)

***

[10]
Structure and theoretical X-ray powder pattern of Rb7AuF5 (a crystal structure in Alexandria, relaxed with PBE; CuKα).
Lines closer than 0.1° are merged.

Most intense lines, 5 to 70 degrees two-theta, most intense first:
d (Å), two_theta, I/Imax
2.910, 30.7, 100
3.170, 28.1, 86
3.006, 29.7, 83
3.275, 27.2, 74
3.406, 26.2, 44
3.331, 26.8, 36
2.087, 43.4, 34
1.759, 52.0, 30
2.103, 43.0, 29
1.776, 51.4, 25

Crystal structure
abc: 7.1996 7.1996 26.0551
angles: 90.06 90.06 33.70
Fractional positions:
Rb (0.0215, 0.0215, 0.2500)
Rb (0.1350, 0.1350, 0.5310)
Rb (0.1348, 0.1348, 0.9690)
Rb (0.3291, 0.3291, 0.3414)
Rb (0.3298, 0.3298, 0.1584)
Rb (0.4092, 0.4092, 0.6001)
Rb (0.4087, 0.4087, 0.8998)
Rb (0.5913, 0.5913, 0.1002)
Rb (0.5908, 0.5908, 0.3999)
Rb (0.6702, 0.6702, 0.8416)
Rb (0.6709, 0.6709, 0.6586)
Rb (0.8652, 0.8652, 0.0310)
Rb (0.8650, 0.8650, 0.4690)
Rb (0.9785, 0.9785, 0.7500)
Au (0.2797, 0.2797, 0.7503)
Au (0.7203, 0.7203, 0.2497)
F (0.0395, 0.0395, 0.8703)
F (0.0401, 0.0401, 0.6298)
F (0.2284, 0.2284, 0.4342)
F (0.2287, 0.2287, 0.0658)
F (0.5000, 0.5000, 0.0000)
F (0.5000, 0.5000, 0.5000)
F (0.7713, 0.7713, 0.9342)
F (0.7716, 0.7716, 0.5658)
F (0.9599, 0.9599, 0.3702)
F (0.9605, 0.9605, 0.1297)

***

[11]
Structure and theoretical X-ray powder pattern of KMnCl3 (a crystal structure in Alexandria, relaxed with PBE; CuKα).
Lines closer than 0.1° are merged.

Most intense lines, 5 to 70 degrees two-theta, most intense first:
d (Å), two_theta, I/Imax
3.481, 25.6, 100
4.626, 19.2, 74
2.392, 37.6, 39
6.354, 13.9, 38
2.432, 37.0, 28
5.008, 17.7, 22
2.980, 30.0, 19
2.132, 42.4, 15
4.064, 21.9, 14
1.748, 52.3, 13

Crystal structure
abc: 8.2583 8.2583 6.7467
angles: 90.00 90.00 129.70
Fractional positions:
K (0.1558, 0.8442, 0.7500)
K (0.8442, 0.1558, 0.2500)
Mn (0.4183, 0.5817, 0.7500)
Mn (0.5817, 0.4183, 0.2500)
Cl (0.1023, 0.4416, 0.8992)
Cl (0.3201, 0.3201, 0.5000)
Cl (0.4416, 0.1023, 0.1008)
Cl (0.5584, 0.8977, 0.6008)
Cl (0.6799, 0.6799, 0.0000)
Cl (0.8977, 0.5584, 0.3992)

***

[12]
Structure and theoretical X-ray powder pattern of AuBr2F8 (a crystal structure in Alexandria, relaxed with PBE; CuKα).
Lines closer than 0.1° are merged.

Most intense lines, 5 to 70 degrees two-theta, most intense first:
d (Å), two_theta, I/Imax
5.291, 16.8, 100
3.573, 24.9, 74
2.761, 32.4, 43
4.980, 17.8, 38
3.213, 27.8, 27
2.998, 29.8, 26
3.616, 24.6, 26
3.259, 27.4, 22
2.742, 32.7, 20
2.435, 36.9, 20

Crystal structure
abc: 6.9465 6.9465 6.4350
angles: 109.49 109.49 46.50
Fractional positions:
Au (0.0000, 0.0000, 0.0000)
Br (0.2724, 0.2724, 0.5960)
Br (0.7276, 0.7276, 0.4040)
F (0.1243, 0.6398, 0.9548)
F (0.1288, 0.1288, 0.6061)
F (0.3602, 0.8757, 0.0452)
F (0.4078, 0.4078, 0.5559)
F (0.5922, 0.5922, 0.4441)
F (0.6398, 0.1243, 0.9548)
F (0.8712, 0.8712, 0.3939)
F (0.8757, 0.3602, 0.0452)